Simulated powder X-ray diffraction pattern of NaSr2AlP3 for Cu Kα, from the GGA-PBE geometry in the Materials Project.
Intensities are scaled so that the largest is 100.

Crystal structure
```
data_NaSr2AlP3
_cell_length_a 13.501
_cell_length_b 9.093
_cell_length_c 11.572
_cell_angle_alpha 90.00
_cell_angle_beta 106.81
_cell_angle_gamma 90.00
_symmetry_space_group_name_H-M 'C 1 2/m 1'
_symmetry_Int_Tables_number 12
loop_
_symmetry_equiv_pos_as_xyz
'x,y,z'
'-x,-y,-z'
'-x,y,-z'
'x,-y,z'
'x+1/2,y+1/2,z'
'-x+1/2,-y+1/2,-z'
'-x+1/2,y+1/2,-z'
'x+1/2,-y+1/2,z'
loop_
_atom_site_label
_atom_site_type_symbol
_atom_site_fract_x
_atom_site_fract_y
_atom_site_fract_z
Na1 Na 0.000 0.199 0.000
Na2 Na 0.143 0.000 0.231
Sr1 Sr 0.029 0.278 0.686
Sr2 Sr 0.250 0.250 0.000
Sr3 Sr 0.250 0.250 0.500
Al1 Al 0.090 0.500 0.118
Al2 Al 0.198 0.000 0.733
P1 P 0.086 0.000 0.512
P2 P 0.087 0.500 0.514
P3 P 0.090 0.500 0.906
P4 P 0.091 0.000 0.863
P5 P 0.183 0.296 0.229
```

Top 8 peaks for 2θ = 5–70°, low angle first:
2θ (°)  I_rel
19.53  23
23.98  21
26.56  28
31.16  100
31.24  18
34.05  64
37.09  21
39.65  27



Simulated powder X-ray diffraction pattern of Na3AlS3 for Cu Kα, from the GGA-PBE geometry in the Materials Project.
Intensities are scaled so that the largest is 100.

Crystal structure
```
data_Na3AlS3
_cell_length_a 13.802
_cell_length_b 12.156
_cell_length_c 7.658
_cell_angle_alpha 90.00
_cell_angle_beta 98.82
_cell_angle_gamma 90.00
_symmetry_space_group_name_H-M 'P 1 21/c 1'
_symmetry_Int_Tables_number 14
loop_
_symmetry_equiv_pos_as_xyz
'x,y,z'
'-x,-y,-z'
'-x,y+1/2,-z+1/2'
'x,-y+1/2,z+1/2'
loop_
_atom_site_label
_atom_site_type_symbol
_atom_site_fract_x
_atom_site_fract_y
_atom_site_fract_z
Na1 Na 0.012 0.245 0.005
Na2 Na 0.194 0.518 0.582
Na3 Na 0.241 0.692 0.030
Na4 Na 0.242 0.175 0.495
Na5 Na 0.364 0.087 0.890
Na6 Na 0.473 0.742 0.913
Al1 Al 0.073 0.507 0.173
Al2 Al 0.434 0.021 0.322
S1 S 0.096 0.501 0.879
S2 S 0.125 0.667 0.295
S3 S 0.145 0.140 0.809
S4 S 0.369 0.183 0.238
S5 S 0.386 0.610 0.623
S6 S 0.398 0.534 0.093
```

Top 8 peaks for 2θ = 5–70°, low angle first:
2θ (°)  I_rel
17.69  54
29.05  100
32.27  28
32.37  27
35.82  29
36.80  40
37.77  35
42.20  30



Simulated powder X-ray diffraction pattern of Na2Al2Sb3 for Cu Kα, from the GGA-PBE geometry in the Materials Project.
Intensities are scaled so that the largest is 100.

Crystal structure
```
data_Na2Al2Sb3
_cell_length_a 14.227
_cell_length_b 7.302
_cell_length_c 15.552
_cell_angle_alpha 90.00
_cell_angle_beta 90.26
_cell_angle_gamma 90.00
_symmetry_space_group_name_H-M 'P 1 21/c 1'
_symmetry_Int_Tables_number 14
loop_
_symmetry_equiv_pos_as_xyz
'x,y,z'
'-x,-y,-z'
'-x,y+1/2,-z+1/2'
'x,-y+1/2,z+1/2'
loop_
_atom_site_label
_atom_site_type_symbol
_atom_site_fract_x
_atom_site_fract_y
_atom_site_fract_z
Na1 Na 0.061 0.068 0.097
Na2 Na 0.149 0.567 0.021
Na3 Na 0.365 0.045 0.012
Na4 Na 0.421 0.542 0.113
Al1 Al 0.092 0.730 0.262
Al2 Al 0.187 0.210 0.338
Al3 Al 0.312 0.735 0.331
Al4 Al 0.405 0.208 0.271
Sb1 Sb 0.021 0.026 0.343
Sb2 Sb 0.162 0.548 0.404
Sb3 Sb 0.247 0.227 0.173
Sb4 Sb 0.250 0.674 0.669
Sb5 Sb 0.342 0.047 0.419
Sb6 Sb 0.471 0.531 0.332
```

Top 8 peaks for 2θ = 5–70°, low angle first:
2θ (°)  I_rel
11.38  43
21.95  100
22.87  43
23.07  91
23.71  46
27.48  68
27.69  81
29.80  56



Simulated powder X-ray diffraction pattern of Na3AlSe3 for Cu Kα, from the GGA-PBE geometry in the Materials Project.
Intensities are scaled so that the largest is 100.

Crystal structure
```
data_Na3AlSe3
_cell_length_a 7.567
_cell_length_b 7.298
_cell_length_c 15.272
_cell_angle_alpha 90.00
_cell_angle_beta 119.54
_cell_angle_gamma 90.00
_symmetry_space_group_name_H-M 'P 1 21/c 1'
_symmetry_Int_Tables_number 14
loop_
_symmetry_equiv_pos_as_xyz
'x,y,z'
'-x,-y,-z'
'-x,y+1/2,-z+1/2'
'x,-y+1/2,z+1/2'
loop_
_atom_site_label
_atom_site_type_symbol
_atom_site_fract_x
_atom_site_fract_y
_atom_site_fract_z
Na1 Na 0.061 0.027 0.286
Na2 Na 0.271 0.503 0.610
Na3 Na 0.308 0.003 0.602
Al1 Al 0.338 0.640 0.420
Se1 Se 0.053 0.745 0.927
Se2 Se 0.346 0.196 0.927
Se3 Se 0.346 0.741 0.274
```

Top 8 peaks for 2θ = 5–70°, low angle first:
2θ (°)  I_rel
24.39  26
26.33  100
26.54  64
33.96  60
40.75  19
41.14  19
41.25  20
44.13  25